# 1
Calculated PXRD pattern
Compound: TiGa3Au
Radiation: λ = 1.5418 Å (Cu Kα)
Structure: a DFT-relaxed cell (GGA-PBE, Alexandria)
No peak broadening, texture or thermal motion is included.

Structure:
```
5
Lattice="4.948 0.000 0.000 0.000 4.948 0.000 0.000 0.000 4.948" Properties=species:S:1:pos:R:3 pbc="T T T"
Ti 0.000 0.000 0.000
Ga 0.000 0.000 2.474
Ga 0.000 2.474 0.000
Ga 2.474 0.000 0.000
Au 2.474 2.474 2.474
```

The 12 most intense peaks (10° ≤ 2θ ≤ 90°), in order of rising 2θ:
2θ/deg  d (Å)  Rel. int.
17.93  4.948  10
25.46  3.499  54
31.31  2.857  100
36.31  2.474  80
44.87  2.020  24
52.29  1.749  55
59.04  1.565  11
62.23  1.492  42
65.33  1.428  19
71.32  1.322  12
85.55  1.135  18
88.34  1.106  25

=====

# 2
Calculated PXRD pattern
Compound: Ac3In3Pd2
Radiation: λ = 1.5418 Å (Cu Kα)
Structure: a DFT-relaxed cell (GGA-PBE, Alexandria)
No peak broadening, texture or thermal motion is included.

Structure:
```
32
Lattice="8.889 0.000 0.000 0.000 17.133 0.000 0.000 0.000 6.046" Properties=species:S:1:pos:R:3 pbc="T T T"
Ac 0.314 1.875 0.686
Ac 0.314 6.692 0.686
Ac 1.518 4.283 3.777
Ac 2.926 12.850 0.755
Ac 4.130 10.441 3.709
Ac 4.130 15.258 3.709
Ac 4.758 1.875 2.337
Ac 4.758 6.692 2.337
Ac 5.962 4.283 5.291
Ac 7.371 12.850 2.268
Ac 8.575 10.441 5.360
Ac 8.575 15.258 5.360
In 1.550 12.850 3.748
In 1.618 0.590 3.655
In 1.618 7.976 3.655
In 2.826 9.157 0.632
In 2.826 16.543 0.632
In 2.894 4.283 0.725
In 5.995 12.850 5.321
In 6.063 0.590 5.413
In 6.063 7.976 5.413
In 7.270 9.157 2.390
In 7.270 16.543 2.390
In 7.338 4.283 2.298
Pd 0.904 10.482 2.267
Pd 0.904 15.217 2.267
Pd 3.540 1.916 5.290
Pd 3.540 6.650 5.290
Pd 5.348 10.482 0.756
Pd 5.348 15.217 0.756
Pd 7.985 1.916 3.778
Pd 7.985 6.650 3.778
```

The 12 most intense peaks (10° ≤ 2θ ≤ 90°), in order of rising 2θ:
2θ/deg  d (Å)  Rel. int.
27.42  3.253  54
28.95  3.084  100
31.29  2.859  66
31.69  2.824  86
32.59  2.747  78
33.69  2.661  71
35.07  2.559  67
37.81  2.380  42
43.38  2.086  29
48.97  1.860  31
54.41  1.686  32
57.63  1.599  24

=====

# 3
Calculated PXRD pattern
Compound: LaCe3Th2P6
Radiation: λ = 1.5418 Å (Cu Kα)
Structure: a DFT-relaxed cell (GGA-PBE, Alexandria)
No peak broadening, texture or thermal motion is included.

Structure:
```
12
Lattice="3.588 -6.211 0.000 3.588 6.211 0.000 -2.391 0.000 6.757" Properties=species:S:1:pos:R:3 pbc="T T T"
La 0.000 0.000 0.000
Ce 2.392 4.157 3.378
Ce 2.392 0.000 3.378
Ce 2.392 -4.157 3.378
Th 3.588 2.074 0.000
Th 3.588 -2.074 0.000
P 1.215 2.103 1.726
P 0.039 0.000 5.035
P 1.215 -2.103 1.726
P 3.569 2.103 5.031
P 4.746 0.000 1.722
P 3.569 -2.103 5.031
```

The 12 most intense peaks (10° ≤ 2θ ≤ 90°), in order of rising 2θ:
2θ/deg  d (Å)  Rel. int.
13.10  6.757  4
26.36  3.381  89
30.53  2.928  100
43.73  2.070  74
51.78  1.765  45
54.27  1.690  26
63.56  1.464  12
70.02  1.344  11
70.07  1.343  8
72.14  1.309  34
80.33  1.195  23
86.32  1.127  11

=====

# 4
Calculated PXRD pattern
Compound: Cs3Ga2Au3
Radiation: λ = 1.5418 Å (Cu Kα)
Structure: a DFT-relaxed cell (GGA-PBE, Alexandria)
No peak broadening, texture or thermal motion is included.

Structure:
```
16
Lattice="2.467 -7.118 0.000 2.467 7.118 0.000 0.000 0.000 16.357" Properties=species:S:1:pos:R:3 pbc="T T T"
Cs 2.467 6.046 9.943
Cs 2.467 6.046 14.592
Cs 2.467 1.594 12.268
Cs 2.467 -1.594 4.089
Cs 2.467 -6.046 1.765
Cs 2.467 -6.046 6.413
Ga 2.467 4.054 1.575
Ga 2.467 4.054 6.603
Ga 2.467 -4.054 9.754
Ga 2.467 -4.054 14.781
Au 2.467 3.018 4.089
Au 2.467 2.678 8.880
Au 2.467 2.678 15.655
Au 2.467 -2.678 0.702
Au 2.467 -2.678 7.476
Au 2.467 -3.018 12.268
```

The 12 most intense peaks (10° ≤ 2θ ≤ 90°), in order of rising 2θ:
2θ/deg  d (Å)  Rel. int.
12.44  7.118  81
25.12  3.546  20
25.14  3.543  44
26.06  3.420  46
26.63  3.348  67
29.05  3.074  55
30.00  2.979  100
34.18  2.623  28
36.43  2.466  65
43.31  2.089  20
47.10  1.929  42
47.88  1.900  55